Li2MoIO6: theoretical PXRD pattern (Cu Ka), based on a DFT-relaxed cell (PBE+U, Alexandria).
Kinematic intensities with the Lorentz-polarization factor, no thermal factor.

Atomic structure:
a b c (Å): 5.631 5.631 4.801
angles (deg): 90.00 90.00 90.00
Fractional coordinates of all 10 atoms:
Li 0.000 0.500 0.000
Li 0.500 0.000 0.000
Mo 0.000 0.000 0.737
I 0.500 0.500 0.813
O 0.000 0.000 0.378
O 0.241 0.241 0.873
O 0.241 0.759 0.873
O 0.500 0.500 0.440
O 0.759 0.241 0.873
O 0.759 0.759 0.873

Top 10 peaks for 2θ from 15° to 90°, low angle first:
- 18.5 deg, intensity 83.6, (0 0 1)
- 22.3 deg, intensity 100.0, (1 1 0)
- 29.1 deg, intensity 62.3, (1 1 1)
- 31.8 deg, intensity 26.0, (2 0 0)
- 37.0 deg, intensity 19.4, (2 0 1)
- 44.0 deg, intensity 22.4, (1 1 2)
- 45.6 deg, intensity 24.7, (2 2 0)
- 49.6 deg, intensity 22.5, (2 2 1)
- 51.3 deg, intensity 19.1, (3 1 0)
- 55.0 deg, intensity 20.7, (3 1 1)